# Y2Se3
Computed X-ray powder pattern, Cu Kα, 1.54184 Å. Input: a crystal structure in the Materials Project, relaxed with PBE.
Kinematic intensities with the Lorentz-polarization factor, no thermal factor.

Largest 6 diffraction maxima, most intense first, 2θ from 10° to 90°:
- hkl 3 1 0, 2θ = 32.47°, I = 100
- hkl 2 1 9, 2θ = 38.64°, I = 64
- hkl 1 1 18, 2θ = 66.05°, I = 23
- hkl 3 1 12, 2θ = 53.59°, I = 20
- hkl 2 1 21, 2θ = 81.04°, I = 15
- hkl 4 2 6, 2θ = 51.33°, I = 14

Cell and atoms:
```
data_Y2Se3
_space_group_name_H-M_alt 'I -4 2 d'
_space_group_IT_number 122
_space_group_name_Hall 'I -4 2bw'
_cell_length_a 8.7214
_cell_length_b 8.7214
_cell_length_c 26.1447
_cell_angle_alpha 90.00
_cell_angle_beta 90.00
_cell_angle_gamma 90.00
loop_
_atom_site_label
_atom_site_type_symbol
_atom_site_fract_x
_atom_site_fract_y
_atom_site_fract_z
_atom_site_occupancy
Y1 Y 0.0000 0.0000 0.1675 1
Y2 Y 0.1180 0.7500 0.6250 1
Y3 Y 0.1338 0.7413 0.9603 1
Se1 Se 0.0667 0.6789 0.1843 1
Se2 Se 0.0701 0.6829 0.8546 1
Se3 Se 0.0795 0.6755 0.5175 1
```